(1)
Calculated powder diffractogram
Compound: TaReCl2
Radiation: Cu Kα, 1.54184 Å
Structure: the PBE geometry in Alexandria

Most intense lines, 15 to 90 degrees two-theta, low angle first:
28.27°, intensity 1000, hkl 0 1 -1; 36.58°, intensity 712, hkl 1 1 1; 39.25°, intensity 607, hkl 1 1 -1; 39.42°, intensity 551, hkl 1 0 -2; 39.73°, intensity 544, hkl 1 0 3; 45.54°, intensity 393, hkl 1 -1 1

Atomic structure:
Unit cell a=2.9848 b=3.4432 c=9.2214 alpha=87.86 beta=81.09 gamma=77.77
Space group P1 (No. 1)
Unique sites:
1 Ta 0.0000 0.0000 0.0000 x1
2 Re 0.4167 0.4978 0.1747 x1
3 Cl 0.6034 0.0021 0.7830 x1
4 Cl 0.8178 0.4951 0.3828 x1

=====

(2)
Calculated powder diffractogram
Compound: Al2NiBr
Radiation: Cu Kα, 1.54184 Å
Structure: the PBE geometry in Alexandria

Most intense lines, 15 to 90 degrees two-theta, low angle first:
15.48°, intensity 281, hkl 0 0 1; 20.70°, intensity 1000, hkl 1 0 0; 28.52°, intensity 714, hkl 0 1 1; 39.66°, intensity 343, hkl 0 1 2; 45.01°, intensity 404, hkl 1 1 -2; 45.28°, intensity 379, hkl 1 1 2

Atomic structure:
Unit cell a=4.2917 b=3.7372 c=5.7250 alpha=90.00 beta=90.50 gamma=90.00
Space group Pm (No. 6)
Unique sites:
1 Al 0.0000 0.0000 0.0000 x1
2 Al 0.4982 0.5000 0.9132 x1
3 Ni 0.5020 0.0000 0.1576 x1
4 Br 0.5079 0.5000 0.4701 x1

=====

(3)
Calculated powder diffractogram
Compound: B3C5
Radiation: Cu Kα, 1.54184 Å
Structure: the PBE geometry in Alexandria

Most intense lines, 15 to 90 degrees two-theta, low angle first:
33.30°, intensity 41, hkl 0 0 3; 37.34°, intensity 22, hkl 1 0 1; 42.24°, intensity 1000, hkl 1 0 2; 70.44°, intensity 280, hkl 1 1 4; 75.33°, intensity 121, hkl 2 0 0; 80.99°, intensity 89, hkl 1 0 6

Atomic structure:
Unit cell a=2.5233 b=2.5233 c=8.0718 alpha=90.00 beta=90.00 gamma=90.00
Space group P-4m2 (No. 115)
Unique sites:
1 B 0.0000 0.0000 0.0000 x1
2 B 0.0000 0.5000 0.3733 x2
3 C 0.0000 0.0000 0.5000 x1
4 C 0.0000 0.5000 0.8663 x2
5 C 0.5000 0.5000 0.2347 x2

=====

(4)
Calculated powder diffractogram
Compound: SiRuO
Radiation: Cu Kα, 1.54184 Å
Structure: the PBE geometry in Alexandria

Most intense lines, 15 to 90 degrees two-theta, low angle first:
18.31°, intensity 1000, hkl 0 0 1; 35.07°, intensity 330, hkl 2 0 -1; 36.66°, intensity 994, hkl 1 1 -1; 36.85°, intensity 489, hkl 2 0 0; 42.82°, intensity 411, hkl 1 1 1; 46.79°, intensity 327, hkl 1 1 -2

Atomic structure:
Unit cell a=5.1917 b=3.0055 c=5.1557 alpha=90.00 beta=109.99 gamma=90.00
Space group Cm (No. 8)
Unique sites:
1 Si 0.0000 0.0000 0.0000 x2
2 Ru 0.4438 0.0000 0.3229 x2
3 O 0.3869 0.5000 0.6683 x2

=====

(5)
Calculated powder diffractogram
Compound: Tm4TlAg2Au
Radiation: Cu Kα, 1.54184 Å
Structure: the PBE geometry in Alexandria

Most intense lines, 15 to 90 degrees two-theta, low angle first:
21.26°, intensity 40, hkl 0 1 2; 35.06°, intensity 1000, hkl 1 1 0; 50.42°, intensity 175, hkl 2 0 8; 62.89°, intensity 353, hkl 3 0 0; 74.08°, intensity 107, hkl 2 2 0; 84.67°, intensity 151, hkl 3 1 8

Atomic structure:
Unit cell a=5.1180 b=5.1180 c=25.0942 alpha=90.00 beta=90.00 gamma=120.00
Space group R-3m (No. 166, hexagonal axes)
Unique sites:
1 Tm 0.0000 0.0000 0.1197 x6
2 Tm 0.0000 0.0000 0.3704 x6
3 Tl 0.0000 0.0000 0.5000 x3
4 Ag 0.0000 0.0000 0.2458 x6
5 Au 0.0000 0.0000 0.0000 x3

=====

(6)
Calculated powder diffractogram
Compound: La5Cd4Rh2
Radiation: Cu Kα, 1.54184 Å
Structure: the PBE geometry in Alexandria

Most intense lines, 15 to 90 degrees two-theta, low angle first:
31.94°, intensity 974, hkl 1 4 1; 33.02°, intensity 1000, hkl 2 2 1; 33.69°, intensity 418, hkl 3 2 0; 35.15°, intensity 412, hkl 1 5 1; 35.47°, intensity 394, hkl 1 7 0; 46.93°, intensity 323, hkl 0 0 2

Atomic structure:
Unit cell a=8.3303 b=18.5908 c=3.8722 alpha=90.00 beta=90.00 gamma=90.00
Space group Pbam (No. 55)
Unique sites:
1 La 0.0000 0.0000 0.0000 x2
2 La 0.1136 0.4106 0.0000 x4
3 La 0.2440 0.2190 0.0000 x4
4 Cd 0.0688 0.8501 0.5000 x4
5 Cd 0.2104 0.5662 0.5000 x4
6 Rh 0.0220 0.3045 0.5000 x4

=====

(7)
Calculated powder diffractogram
Compound: Cs2SnGe3O9
Radiation: Cu Kα, 1.54184 Å
Structure: the PBE geometry in Alexandria

Most intense lines, 15 to 90 degrees two-theta, low angle first:
24.00°, intensity 413, hkl 1 1 0; 28.77°, intensity 615, hkl 1 0 3; 29.05°, intensity 494, hkl 2 0 1; 29.36°, intensity 1000, hkl 1 1 2; 45.68°, intensity 264, hkl 3 0 2; 51.55°, intensity 221, hkl 2 0 5

Atomic structure:
Unit cell a=7.4165 b=7.4165 c=10.6337 alpha=90.00 beta=90.00 gamma=120.00
Space group P6_3/m (No. 176)
Unique sites:
1 Cs 0.3333 0.6667 0.0601 x4
2 Sn 0.0000 0.0000 0.0000 x2
3 Ge 0.1424 0.3746 0.7500 x6
4 O 0.0328 0.2486 0.6084 x12
5 O 0.0746 0.5791 0.7500 x6

=====

(8)
Calculated powder diffractogram
Compound: Ac8PrCo4
Radiation: Cu Kα, 1.54184 Å
Structure: the PBE geometry in Alexandria

Most intense lines, 15 to 90 degrees two-theta, low angle first:
26.16°, intensity 315, hkl 3 3 0; 27.60°, intensity 222, hkl 4 2 0; 27.89°, intensity 1000, hkl 3 0 1; 31.57°, intensity 157, hkl 1 5 0; 37.33°, intensity 154, hkl 6 0 0; 45.43°, intensity 326, hkl 4 5 1

Atomic structure:
Unit cell a=14.4514 b=14.4514 c=4.2797 alpha=90.00 beta=90.00 gamma=90.00
Space group I4/m (No. 87)
Unique sites:
1 Ac 0.0443 0.3358 0.0000 x8
2 Ac 0.1448 0.8130 0.5000 x8
3 Pr 0.0000 0.0000 0.0000 x2
4 Co 0.1501 0.6742 0.0000 x8